Structure and computed PXRD pattern of PmCdP2Pt7 (a cell relaxed with GGA-PBE; Cu Kα (λ = 1.5418 Å)).

Peak list (12 most intense, 5 to 70 degrees two-theta, sorted by position)
Position (°2θ)  intensity
5.97  100
22.19  10
23.78  17
26.69  14
33.60  11
36.32  99
39.83  9
44.02  15
44.83  35
48.72  8
59.06  10
65.26  11

abc: 15.0828 15.0828 15.0828
angles: 164.59 164.59 21.86
Element x y z (fractional)
Pm 0.0000 0.0000 0.0000
Cd 0.7500 0.2500 0.5000
P 0.3818 0.3818 0.0000
P 0.6182 0.6182 0.0000
Pt 0.0760 0.5760 0.5000
Pt 0.3089 0.3089 0.0000
Pt 0.4240 0.9240 0.5000
Pt 0.5000 0.5000 0.0000
Pt 0.5761 0.0761 0.5000
Pt 0.6911 0.6911 0.0000
Pt 0.9239 0.4239 0.5000

Structure and computed PXRD pattern of NaCr4Se8 (a cell relaxed with GGA-PBE; Cu Kα (λ = 1.5418 Å)).

Peak list (12 most intense, 5 to 70 degrees two-theta, sorted by position)
Position (°2θ)  intensity
11.84  100
23.80  8
30.37  27
33.45  97
40.85  34
43.86  27
51.93  31
53.46  12
54.10  22
63.19  14
64.83  6
68.10  7

abc: 8.5108 8.5108 8.5108
angles: 48.88 48.88 48.88
Element x y z (fractional)
Na 0.0000 0.0000 0.0000
Cr 0.0000 0.0000 0.5000
Cr 0.0000 0.5000 0.0000
Cr 0.5000 0.0000 0.0000
Cr 0.5000 0.5000 0.5000
Se 0.2320 0.2320 0.2320
Se 0.2331 0.7315 0.7315
Se 0.2685 0.2685 0.7669
Se 0.2685 0.7669 0.2685
Se 0.7315 0.2331 0.7315
Se 0.7315 0.7315 0.2331
Se 0.7669 0.2685 0.2685
Se 0.7680 0.7680 0.7680

Structure and computed PXRD pattern of TbPrHoTh (a cell relaxed with GGA-PBE; Cu Kα (λ = 1.5418 Å)).

Peak list (12 most intense, 5 to 70 degrees two-theta, sorted by position)
Position (°2θ)  intensity
7.60  21
29.04  36
30.76  45
31.38  100
33.87  72
38.70  25
50.62  35
53.43  25
58.30  13
60.41  40
60.78  17
62.30  13

abc: 3.6066 3.6066 34.8826
angles: 90.00 90.00 120.00
Element x y z (fractional)
Tb 0.0000 0.0000 0.0000
Tb 0.3333 0.6667 0.6667
Tb 0.6667 0.3333 0.3333
Pr 0.0000 0.0000 0.2468
Pr 0.3333 0.6667 0.9135
Pr 0.6667 0.3333 0.5801
Ho 0.0000 0.0000 0.8272
Ho 0.3333 0.6667 0.4939
Ho 0.6667 0.3333 0.1605
Th 0.0000 0.0000 0.4137
Th 0.3333 0.6667 0.0804
Th 0.6667 0.3333 0.7471

Structure and computed PXRD pattern of SrOs3O9 (a cell relaxed with GGA-PBE; Cu Kα (λ = 1.5418 Å)).

Peak list (12 most intense, 5 to 70 degrees two-theta, sorted by position)
Position (°2θ)  intensity
19.99  62
23.67  100
26.37  99
28.07  60
30.42  37
31.18  69
32.40  64
33.05  34
35.73  46
41.06  31
48.47  52
54.69  30

abc: 5.5389 7.5170 8.1471
angles: 90.00 93.68 90.00
Element x y z (fractional)
Sr 0.0231 0.2500 0.4287
Sr 0.9769 0.7500 0.5713
Os 0.0000 0.0000 0.0000
Os 0.0000 0.5000 0.0000
Os 0.4701 0.0028 0.6945
Os 0.4701 0.4972 0.6945
Os 0.5299 0.5028 0.3055
Os 0.5299 0.9972 0.3055
O 0.0414 0.2500 0.9852
O 0.1645 0.5420 0.7916
O 0.1645 0.9580 0.7916
O 0.2799 0.5240 0.4777
O 0.2799 0.9760 0.4777
O 0.2962 0.5184 0.1251
O 0.2962 0.9816 0.1251
O 0.4268 0.2500 0.6920
O 0.4715 0.2500 0.3100
O 0.5285 0.7500 0.6900
O 0.5732 0.7500 0.3080
O 0.7038 0.0184 0.8749
O 0.7038 0.4816 0.8749
O 0.7201 0.0240 0.5223
O 0.7201 0.4760 0.5223
O 0.8355 0.0420 0.2084
O 0.8355 0.4580 0.2084
O 0.9586 0.7500 0.0148

Structure and computed PXRD pattern of NaGa3Rh (a cell relaxed with GGA-PBE; Cu Kα (λ = 1.5418 Å)).

Peak list (12 most intense, 5 to 70 degrees two-theta, sorted by position)
Position (°2θ)  intensity
16.27  24
17.24  100
25.67  15
30.30  16
34.81  22
34.95  24
40.85  46
42.06  30
43.41  14
47.19  23
49.74  11
61.31  11

abc: 6.0483 6.5016 6.9458
angles: 93.76 115.78 117.32
Element x y z (fractional)
Na 0.0000 0.0000 0.0000
Na 0.4571 0.3970 0.5415
Ga 0.0597 0.5479 0.0401
Ga 0.4166 0.8630 0.5318
Ga 0.5255 0.5594 0.0488
Ga 0.5512 0.0735 0.0317
Ga 0.8589 0.2048 0.5366
Ga 0.9570 0.8591 0.5306
Rh 0.2130 0.6611 0.7769
Rh 0.8835 0.4853 0.2904

Structure and computed PXRD pattern of RbNpSeO2 (a cell relaxed with GGA-PBE; Cu Kα (λ = 1.5418 Å)).

Peak list (12 most intense, 5 to 70 degrees two-theta, sorted by position)
Position (°2θ)  intensity
15.56  24
20.50  83
25.84  100
29.15  93
31.41  41
37.80  64
41.69  50
43.38  48
46.89  20
49.70  35
53.12  37
57.53  38

abc: 4.3325 4.3325 5.6959
angles: 90.00 90.00 90.00
Element x y z (fractional)
Rb 0.0000 0.0000 0.0000
Np 0.5000 0.5000 0.3997
Se 0.5000 0.5000 0.8833
O 0.0000 0.5000 0.3809
O 0.5000 0.0000 0.3809